# Sn4S5
Theoretical powder XRD pattern, copper Kα. Input: a crystal structure in Alexandria, relaxed with GGA-PBE.
Neutral-atom scattering factors, no anomalous dispersion.

Atomic structure:
```
data_Sn4S5
_chemical_formula_sum 'Sn8 S10'
_space_group_name_H-M_alt 'I 4/m'
_space_group_IT_number 87
_space_group_name_Hall '-I 4'
_cell_length_a 8.9393
_cell_length_b 8.9393
_cell_length_c 5.6485
_cell_angle_alpha 90.00
_cell_angle_beta 90.00
_cell_angle_gamma 90.00
loop_
_atom_site_label
_atom_site_type_symbol
_atom_site_fract_x
_atom_site_fract_y
_atom_site_fract_z
_atom_site_occupancy
Sn1 Sn 0.0941 0.2926 0.0000 1
S1 S 0.0000 0.0000 0.0000 1
S2 S 0.0994 0.3124 0.5000 1
```

Most intense lines, 10° ≤ 2θ ≤ 90°, sorted by position:
2θ 14.0, I = 14, (1 1 0)
2θ 18.6, I = 23, (1 0 1)
2θ 27.3, I = 46, (2 1 1)
2θ 31.7, I = 100, (0 0 2)
2θ 44.8, I = 6, (1 4 1)
2θ 45.4, I = 73, (1 3 2)
2θ 53.8, I = 26, (2 1 3)
2θ 56.4, I = 25, (4 2 2)
2θ 66.1, I = 11, (0 0 4)
2θ 73.0, I = 12, (5 0 3)
2θ 75.2, I = 32, (1 3 4)
2θ 83.9, I = 24, (4 2 4)